BaLa2Cd2Sn2: theoretical powder X-ray diffraction pattern (a wavelength of 1.5418 Å), based on a structure optimized by DFT (PBE).
Peak positions follow from Bragg's law for the DFT cell and can differ from measured ones.

Cell and atoms:
```
data_BaLa2Cd2Sn2
_symmetry_space_group_name_H-M 'P 1'
_symmetry_Int_Tables_number 1
_cell_length_a 10.4192
_cell_length_b 10.4192
_cell_length_c 10.4192
_cell_angle_alpha 28.57
_cell_angle_beta 28.57
_cell_angle_gamma 28.57
loop_
_symmetry_equiv_pos_as_xyz
'x,y,z'
loop_
_atom_site_label
_atom_site_type_symbol
_atom_site_fract_x
_atom_site_fract_y
_atom_site_fract_z
Ba1 Ba 0.0000 0.0000 0.0000
La1 La 0.1342 0.1342 0.1342
La2 La 0.8658 0.8658 0.8658
Cd1 Cd 0.4234 0.4234 0.4234
Cd2 Cd 0.5766 0.5766 0.5766
Sn1 Sn 0.2559 0.2559 0.2559
Sn2 Sn 0.7441 0.7441 0.7441
```

Largest 10 diffraction maxima, sorted by position, 10 to 90 degrees two-theta:
2theta  intensity
17.76  13
28.93  96
31.20  33
34.90  100
45.94  27
53.06  12
58.96  25
60.28  10
62.57  20
73.69  12

---

CdIn8Pb3: theoretical powder X-ray diffraction pattern (a wavelength of 1.5418 Å), based on a structure optimized by DFT (PBE).
Peak positions follow from Bragg's law for the DFT cell and can differ from measured ones.

Cell and atoms:
```
data_CdIn8Pb3
_symmetry_space_group_name_H-M 'P 1'
_symmetry_Int_Tables_number 1
_cell_length_a 8.1691
_cell_length_b 8.1691
_cell_length_c 10.6829
_cell_angle_alpha 129.80
_cell_angle_beta 129.80
_cell_angle_gamma 40.45
loop_
_symmetry_equiv_pos_as_xyz
'x,y,z'
loop_
_atom_site_label
_atom_site_type_symbol
_atom_site_fract_x
_atom_site_fract_y
_atom_site_fract_z
Cd1 Cd 0.0000 0.0000 0.0000
In1 In 0.0000 0.9982 0.3238
In2 In 0.0018 0.0000 0.6762
In3 In 0.1281 0.3578 0.4115
In4 In 0.1281 0.3613 0.0769
In5 In 0.5003 0.4987 0.8333
In6 In 0.5013 0.4997 0.1667
In7 In 0.6387 0.8719 0.9231
In8 In 0.6422 0.8719 0.5885
Pb1 Pb 0.1358 0.3669 0.7510
Pb2 Pb 0.4972 0.5028 0.5000
Pb3 Pb 0.6331 0.8642 0.2490
```

Largest 10 diffraction maxima, sorted by position, 10 to 90 degrees two-theta:
2theta  intensity
29.66  20
31.69  37
31.93  63
33.54  100
34.03  94
35.60  42
45.60  26
55.19  21
57.62  25
58.58  19

---

Mn2Ni3Rh3: theoretical powder X-ray diffraction pattern (a wavelength of 1.5418 Å), based on a structure optimized by DFT (PBE).
Peak positions follow from Bragg's law for the DFT cell and can differ from measured ones.

Cell and atoms:
```
data_Mn2Ni3Rh3
_symmetry_space_group_name_H-M 'P 1'
_symmetry_Int_Tables_number 1
_cell_length_a 3.7421
_cell_length_b 3.7449
_cell_length_c 7.2215
_cell_angle_alpha 90.00
_cell_angle_beta 90.00
_cell_angle_gamma 90.00
loop_
_symmetry_equiv_pos_as_xyz
'x,y,z'
loop_
_atom_site_label
_atom_site_type_symbol
_atom_site_fract_x
_atom_site_fract_y
_atom_site_fract_z
Mn1 Mn 0.0000 0.0000 0.2463
Mn2 Mn 0.0000 0.0000 0.7537
Ni1 Ni 0.0000 0.5000 0.0000
Ni2 Ni 0.5000 0.5000 0.2449
Ni3 Ni 0.5000 0.5000 0.7551
Rh1 Rh 0.0000 0.5000 0.5000
Rh2 Rh 0.5000 0.0000 0.0000
Rh3 Rh 0.5000 0.0000 0.5000
```

Largest 10 diffraction maxima, sorted by position, 10 to 90 degrees two-theta:
2theta  intensity
24.66  5
33.86  5
42.34  100
48.64  33
50.56  15
55.28  2
71.25  10
72.78  18
86.52  23
89.44  11

---

Pr3Nd3Co2: theoretical powder X-ray diffraction pattern (a wavelength of 1.5418 Å), based on a structure optimized by DFT (PBE).
Peak positions follow from Bragg's law for the DFT cell and can differ from measured ones.

Cell and atoms:
```
data_Pr3Nd3Co2
_symmetry_space_group_name_H-M 'P 1'
_symmetry_Int_Tables_number 1
_cell_length_a 7.0819
_cell_length_b 7.0819
_cell_length_c 18.8379
_cell_angle_alpha 90.00
_cell_angle_beta 90.00
_cell_angle_gamma 149.35
loop_
_symmetry_equiv_pos_as_xyz
'x,y,z'
loop_
_atom_site_label
_atom_site_type_symbol
_atom_site_fract_x
_atom_site_fract_y
_atom_site_fract_z
Pr1 Pr 0.0647 0.9353 0.5882
Pr2 Pr 0.0647 0.9353 0.9118
Pr3 Pr 0.2744 0.7256 0.7500
Pr4 Pr 0.7256 0.2744 0.2500
Pr5 Pr 0.9353 0.0647 0.0882
Pr6 Pr 0.9353 0.0647 0.4118
Nd1 Nd 0.3226 0.6774 0.5662
Nd2 Nd 0.3226 0.6774 0.9338
Nd3 Nd 0.4491 0.5509 0.2500
Nd4 Nd 0.5509 0.4491 0.7500
Nd5 Nd 0.6774 0.3226 0.0662
Nd6 Nd 0.6774 0.3226 0.4338
Co1 Co 0.3035 0.6965 0.1371
Co2 Co 0.3035 0.6965 0.3629
Co3 Co 0.6965 0.3035 0.6371
Co4 Co 0.6965 0.3035 0.8629
```

Largest 10 diffraction maxima, sorted by position, 10 to 90 degrees two-theta:
2theta  intensity
26.50  77
28.45  100
30.92  49
31.22  34
34.14  84
34.40  76
35.48  72
40.89  34
48.64  31
55.02  39

---

AlF4: theoretical powder X-ray diffraction pattern (a wavelength of 1.5418 Å), based on a structure optimized by DFT (PBE).
Peak positions follow from Bragg's law for the DFT cell and can differ from measured ones.

Cell and atoms:
```
data_AlF4
_symmetry_space_group_name_H-M 'P 1'
_symmetry_Int_Tables_number 1
_cell_length_a 4.9444
_cell_length_b 4.9444
_cell_length_c 6.6013
_cell_angle_alpha 94.64
_cell_angle_beta 94.64
_cell_angle_gamma 119.96
loop_
_symmetry_equiv_pos_as_xyz
'x,y,z'
loop_
_atom_site_label
_atom_site_type_symbol
_atom_site_fract_x
_atom_site_fract_y
_atom_site_fract_z
Al1 Al 0.1670 0.8330 0.0000
Al2 Al 0.8330 0.1670 0.0000
F1 F 0.0884 0.0884 0.8480
F2 F 0.1531 0.5328 0.1524
F3 F 0.3656 0.3656 0.5256
F4 F 0.4672 0.8469 0.8476
F5 F 0.5328 0.1531 0.1524
F6 F 0.6344 0.6344 0.4744
F7 F 0.8469 0.4672 0.8476
F8 F 0.9116 0.9116 0.1520
```

Largest 10 diffraction maxima, sorted by position, 10 to 90 degrees two-theta:
2theta  intensity
13.59  100
23.36  29
24.89  38
26.64  23
40.17  11
41.57  19
44.24  34
50.20  11
53.96  11
65.57  9

---

Ta2TcNi: theoretical powder X-ray diffraction pattern (a wavelength of 1.5418 Å), based on a structure optimized by DFT (PBE).
Peak positions follow from Bragg's law for the DFT cell and can differ from measured ones.

Cell and atoms:
```
data_Ta2TcNi
_symmetry_space_group_name_H-M 'P 1'
_symmetry_Int_Tables_number 1
_cell_length_a 3.1841
_cell_length_b 3.1997
_cell_length_c 6.0661
_cell_angle_alpha 90.00
_cell_angle_beta 90.00
_cell_angle_gamma 90.00
loop_
_symmetry_equiv_pos_as_xyz
'x,y,z'
loop_
_atom_site_label
_atom_site_type_symbol
_atom_site_fract_x
_atom_site_fract_y
_atom_site_fract_z
Ta1 Ta 0.0000 0.0000 0.2447
Ta2 Ta 0.0000 0.0000 0.7553
Tc1 Tc 0.5000 0.5000 0.5000
Ni1 Ni 0.5000 0.5000 0.0000
```

Largest 10 diffraction maxima, sorted by position, 10 to 90 degrees two-theta:
2theta  intensity
27.88  9
28.02  9
29.45  8
39.95  54
41.05  100
57.62  9
57.92  9
73.19  18
73.40  18
75.53  16

---

Dy3Ho2Pu: theoretical powder X-ray diffraction pattern (a wavelength of 1.5418 Å), based on a structure optimized by DFT (PBE).
Peak positions follow from Bragg's law for the DFT cell and can differ from measured ones.

Cell and atoms:
```
data_Dy3Ho2Pu
_symmetry_space_group_name_H-M 'P 1'
_symmetry_Int_Tables_number 1
_cell_length_a 8.8101
_cell_length_b 8.8101
_cell_length_c 8.8101
_cell_angle_alpha 99.91
_cell_angle_beta 94.53
_cell_angle_gamma 138.50
loop_
_symmetry_equiv_pos_as_xyz
'x,y,z'
loop_
_atom_site_label
_atom_site_type_symbol
_atom_site_fract_x
_atom_site_fract_y
_atom_site_fract_z
Dy1 Dy 0.0171 0.7500 0.2671
Dy2 Dy 0.2500 0.2500 0.0000
Dy3 Dy 0.4829 0.7500 0.7329
Dy4 Dy 0.5171 0.2500 0.2671
Dy5 Dy 0.7500 0.7500 0.0000
Dy6 Dy 0.9829 0.2500 0.7329
Ho1 Ho 0.0992 0.2464 0.3455
Ho2 Ho 0.4008 0.7464 0.1472
Ho3 Ho 0.5992 0.2536 0.8528
Ho4 Ho 0.9008 0.7536 0.6545
Pu1 Pu 0.0000 0.5000 0.5000
Pu2 Pu 0.5000 0.0000 0.5000
```

Largest 10 diffraction maxima, sorted by position, 10 to 90 degrees two-theta:
2theta  intensity
15.63  55
22.03  63
30.63  36
31.46  26
31.57  73
32.35  30
32.75  40
33.90  100
37.44  43
43.97  36

---

Sr3Sc: theoretical powder X-ray diffraction pattern (a wavelength of 1.5418 Å), based on a structure optimized by DFT (PBE).
Peak positions follow from Bragg's law for the DFT cell and can differ from measured ones.

Cell and atoms:
```
data_Sr3Sc
_symmetry_space_group_name_H-M 'P 1'
_symmetry_Int_Tables_number 1
_cell_length_a 13.1684
_cell_length_b 13.1684
_cell_length_c 13.1684
_cell_angle_alpha 17.38
_cell_angle_beta 17.38
_cell_angle_gamma 17.38
loop_
_symmetry_equiv_pos_as_xyz
'x,y,z'
loop_
_atom_site_label
_atom_site_type_symbol
_atom_site_fract_x
_atom_site_fract_y
_atom_site_fract_z
Sr1 Sr 0.0000 0.0000 0.0000
Sr2 Sr 0.2403 0.2403 0.2403
Sr3 Sr 0.7597 0.7597 0.7597
Sc1 Sc 0.5000 0.5000 0.5000
```

Largest 10 diffraction maxima, sorted by position, 10 to 90 degrees two-theta:
2theta  intensity
20.55  11
27.48  100
28.33  7
31.83  49
39.91  9
45.63  31
54.09  34
56.69  9
73.37  11
75.62  10

---

PmNd3In3: theoretical powder X-ray diffraction pattern (a wavelength of 1.5418 Å), based on a structure optimized by DFT (PBE).
Peak positions follow from Bragg's law for the DFT cell and can differ from measured ones.

Cell and atoms:
```
data_PmNd3In3
_symmetry_space_group_name_H-M 'P 1'
_symmetry_Int_Tables_number 1
_cell_length_a 9.6890
_cell_length_b 9.6890
_cell_length_c 5.2458
_cell_angle_alpha 90.00
_cell_angle_beta 90.00
_cell_angle_gamma 120.00
loop_
_symmetry_equiv_pos_as_xyz
'x,y,z'
loop_
_atom_site_label
_atom_site_type_symbol
_atom_site_fract_x
_atom_site_fract_y
_atom_site_fract_z
Pm1 Pm 0.3333 0.6667 0.2500
Pm2 Pm 0.6667 0.3333 0.7500
Nd1 Nd 0.0013 0.2392 0.7500
Nd2 Nd 0.2379 0.9987 0.7500
Nd3 Nd 0.2392 0.2379 0.2500
Nd4 Nd 0.7608 0.7621 0.7500
Nd5 Nd 0.7621 0.0013 0.2500
Nd6 Nd 0.9987 0.7608 0.2500
In1 In 0.0691 0.6130 0.7500
In2 In 0.3870 0.4561 0.7500
In3 In 0.4561 0.0691 0.2500
In4 In 0.5439 0.9309 0.7500
In5 In 0.6130 0.5439 0.2500
In6 In 0.9309 0.3870 0.2500
```

Largest 10 diffraction maxima, sorted by position, 10 to 90 degrees two-theta:
2theta  intensity
27.22  8
28.14  23
32.00  6
33.00  100
34.19  24
44.84  13
49.80  13
60.46  17
61.05  6
61.79  14

---

YMg3Cd3: theoretical powder X-ray diffraction pattern (a wavelength of 1.5418 Å), based on a structure optimized by DFT (PBE).
Peak positions follow from Bragg's law for the DFT cell and can differ from measured ones.

Cell and atoms:
```
data_YMg3Cd3
_symmetry_space_group_name_H-M 'P 1'
_symmetry_Int_Tables_number 1
_cell_length_a 8.7163
_cell_length_b 8.7163
_cell_length_c 8.7163
_cell_angle_alpha 90.00
_cell_angle_beta 90.00
_cell_angle_gamma 90.00
loop_
_symmetry_equiv_pos_as_xyz
'x,y,z'
loop_
_atom_site_label
_atom_site_type_symbol
_atom_site_fract_x
_atom_site_fract_y
_atom_site_fract_z
Y1 Y 0.0474 0.4526 0.5474
Y2 Y 0.4526 0.5474 0.0474
Y3 Y 0.5474 0.0474 0.4526
Y4 Y 0.9526 0.9526 0.9526
Mg1 Mg 0.1302 0.6302 0.8698
Mg2 Mg 0.1694 0.1694 0.1694
Mg3 Mg 0.1896 0.8104 0.3104
Mg4 Mg 0.3104 0.1896 0.8104
Mg5 Mg 0.3306 0.8306 0.6694
Mg6 Mg 0.3698 0.3698 0.3698
Mg7 Mg 0.6302 0.8698 0.1302
Mg8 Mg 0.6694 0.3306 0.8306
Mg9 Mg 0.6896 0.6896 0.6896
Mg10 Mg 0.8104 0.3104 0.1896
Mg11 Mg 0.8306 0.6694 0.3306
Mg12 Mg 0.8698 0.1302 0.6302
Cd1 Cd 0.0077 0.3130 0.8963
Cd2 Cd 0.1037 0.5077 0.1870
Cd3 Cd 0.1870 0.1037 0.5077
Cd4 Cd 0.3130 0.8963 0.0077
Cd5 Cd 0.3963 0.4923 0.6870
Cd6 Cd 0.4923 0.6870 0.3963
Cd7 Cd 0.5077 0.1870 0.1037
Cd8 Cd 0.6037 0.9923 0.8130
Cd9 Cd 0.6870 0.3963 0.4923
Cd10 Cd 0.8130 0.6037 0.9923
Cd11 Cd 0.8963 0.0077 0.3130
Cd12 Cd 0.9923 0.8130 0.6037
```

Largest 10 diffraction maxima, sorted by position, 10 to 90 degrees two-theta:
2theta  intensity
20.38  24
25.02  70
32.48  100
34.12  36
37.19  61
38.65  46
42.77  45
53.61  20
63.10  22
68.99  27

---

Tl4InHg: theoretical powder X-ray diffraction pattern (a wavelength of 1.5418 Å), based on a structure optimized by DFT (PBE).
Peak positions follow from Bragg's law for the DFT cell and can differ from measured ones.

Cell and atoms:
```
data_Tl4InHg
_symmetry_space_group_name_H-M 'P 1'
_symmetry_Int_Tables_number 1
_cell_length_a 5.6557
_cell_length_b 6.4754
_cell_length_c 9.8262
_cell_angle_alpha 90.00
_cell_angle_beta 90.00
_cell_angle_gamma 90.00
loop_
_symmetry_equiv_pos_as_xyz
'x,y,z'
loop_
_atom_site_label
_atom_site_type_symbol
_atom_site_fract_x
_atom_site_fract_y
_atom_site_fract_z
Tl1 Tl 0.2500 0.0020 0.2446
Tl2 Tl 0.2500 0.4980 0.2446
Tl3 Tl 0.2500 0.7500 0.5759
Tl4 Tl 0.2500 0.7500 0.9213
Tl5 Tl 0.7500 0.2500 0.0787
Tl6 Tl 0.7500 0.2500 0.4241
Tl7 Tl 0.7500 0.5020 0.7554
Tl8 Tl 0.7500 0.9980 0.7554
In1 In 0.2500 0.2500 0.9014
In2 In 0.7500 0.7500 0.0986
Hg1 Hg 0.2500 0.2500 0.5848
Hg2 Hg 0.7500 0.7500 0.4152
```

Largest 10 diffraction maxima, sorted by position, 10 to 90 degrees two-theta:
2theta  intensity
31.59  100
33.15  82
46.45  32
56.31  13
57.22  23
57.33  12
66.52  16
66.56  8
75.90  10
84.19  9

---

NaBe2GaSe4: theoretical powder X-ray diffraction pattern (a wavelength of 1.5418 Å), based on a structure optimized by DFT (PBE).
Peak positions follow from Bragg's law for the DFT cell and can differ from measured ones.

Cell and atoms:
```
data_NaBe2GaSe4
_symmetry_space_group_name_H-M 'P 1'
_symmetry_Int_Tables_number 1
_cell_length_a 6.8578
_cell_length_b 6.8567
_cell_length_c 5.6070
_cell_angle_alpha 65.88
_cell_angle_beta 65.86
_cell_angle_gamma 48.26
loop_
_symmetry_equiv_pos_as_xyz
'x,y,z'
loop_
_atom_site_label
_atom_site_type_symbol
_atom_site_fract_x
_atom_site_fract_y
_atom_site_fract_z
Na1 Na 0.0000 0.0000 0.0000
Be1 Be 0.2497 0.2497 0.2503
Be2 Be 0.7497 0.7497 0.7503
Ga1 Ga 0.4995 0.4995 0.5005
Se1 Se 0.1223 0.5864 0.8777
Se2 Se 0.4132 0.8768 0.1232
Se3 Se 0.5864 0.1223 0.4136
Se4 Se 0.8768 0.4132 0.5868
```

Largest 10 diffraction maxima, sorted by position, 10 to 90 degrees two-theta:
2theta  intensity
17.69  14
22.42  6
27.57  100
31.94  17
35.83  13
39.42  11
45.80  53
54.28  31
73.68  8
84.72  10

---

Sm2Cd3Cu2: theoretical powder X-ray diffraction pattern (a wavelength of 1.5418 Å), based on a structure optimized by DFT (PBE).
Peak positions follow from Bragg's law for the DFT cell and can differ from measured ones.

Cell and atoms:
```
data_Sm2Cd3Cu2
_symmetry_space_group_name_H-M 'P 1'
_symmetry_Int_Tables_number 1
_cell_length_a 5.4940
_cell_length_b 5.4940
_cell_length_c 7.1695
_cell_angle_alpha 95.53
_cell_angle_beta 95.53
_cell_angle_gamma 46.39
loop_
_symmetry_equiv_pos_as_xyz
'x,y,z'
loop_
_atom_site_label
_atom_site_type_symbol
_atom_site_fract_x
_atom_site_fract_y
_atom_site_fract_z
Sm1 Sm 0.1284 0.1284 0.3452
Sm2 Sm 0.8716 0.8716 0.6548
Cd1 Cd 0.1831 0.1831 0.8566
Cd2 Cd 0.5000 0.5000 0.0000
Cd3 Cd 0.8169 0.8169 0.1434
Cu1 Cu 0.4212 0.4212 0.3581
Cu2 Cu 0.5788 0.5788 0.6419
```

Largest 10 diffraction maxima, sorted by position, 10 to 90 degrees two-theta:
2theta  intensity
32.28  27
33.05  100
33.85  71
34.49  17
37.19  33
41.75  60
53.73  13
57.56  17
60.53  16
68.89  15